Starting from a DFT-relaxed cell (PBE+U, the Materials Project), the powder X-ray diffraction pattern of Na5Fe6Si12O36 was computed for Cu Kα, 1.54184 Å.
No peak broadening, texture or thermal motion is included.

Crystal structure
```
data_Na5Fe6Si12O36
_chemical_formula_sum 'Na10 Fe12 Si24 O72'
_cell_length_a 16.616
_cell_length_b 8.890
_cell_length_c 9.637
_cell_angle_alpha 90.00
_cell_angle_beta 110.00
_cell_angle_gamma 90.00
_symmetry_space_group_name_H-M 'C 1 2 1'
_symmetry_Int_Tables_number 5
loop_
_symmetry_equiv_pos_as_xyz
'x,y,z'
'-x,y,-z'
'x+1/2,y+1/2,z'
'-x+1/2,y+1/2,-z'
loop_
_atom_site_label
_atom_site_fract_x
_atom_site_fract_y
_atom_site_fract_z
Na1 0.000 0.000 0.000
Na2 0.166 0.498 0.667
Na3 0.167 0.592 0.168
Fe1 0.000 0.395 0.000
Fe2 0.000 0.697 0.500
Fe3 0.163 0.900 0.664
Fe4 0.167 0.196 0.167
Si1 0.064 0.382 0.357
Si2 0.065 0.707 0.857
Si3 0.101 0.207 0.810
Si4 0.101 0.885 0.311
Si5 0.232 0.208 0.522
Si6 0.232 0.885 0.022
O1 0.028 0.792 0.176
O2 0.030 0.303 0.678
O3 0.062 0.550 0.423
O4 0.063 0.542 0.924
O5 0.076 0.218 0.961
O6 0.076 0.869 0.461
O7 0.091 0.373 0.207
O8 0.091 0.716 0.706
O9 0.104 0.051 0.243
O10 0.106 0.037 0.754
O11 0.139 0.800 0.991
O12 0.140 0.295 0.491
O13 0.194 0.800 0.342
O14 0.195 0.290 0.844
O15 0.229 0.042 0.589
O16 0.231 0.050 0.091
O17 0.241 0.717 0.627
O18 0.242 0.374 0.129
```

Principal peaks in the range 10 to 80 degrees two-theta, sorted by position:
| h k l | d_spacing | two_theta | I_rel |
| --- | --- | --- | --- |
| 1 1 -1 | 6.440 | 13.8 | 43 |
| 3 1 0 | 4.492 | 19.8 | 27 |
| 0 2 0 | 4.445 | 20.0 | 20 |
| 4 2 -1 | 3.028 | 29.5 | 100 |
| 3 1 -3 | 2.939 | 30.4 | 53 |
| 3 3 0 | 2.575 | 34.8 | 23 |
| 4 0 2 | 2.556 | 35.1 | 38 |
| 0 2 3 | 2.497 | 36.0 | 35 |